[1]
# TiNbTlO6
Calculated X-ray diffraction stick pattern, copper Kα. Input: a cell relaxed with GGA-PBE.
Peak positions follow from Bragg's law for the DFT cell and can differ from measured ones.

Peak list (10 most intense, 2θ = 10–90°, by intensity)
- 25.87 deg, I = 100
- 33.66 deg, I = 79
- 50.80 deg, I = 65
- 20.47 deg, I = 42
- 36.90 deg, I = 22
- 64.43 deg, I = 19
- 53.18 deg, I = 17
- 42.57 deg, I = 17
- 32.05 deg, I = 17
- 60.06 deg, I = 16

Structure:
```
TiNbTlO6
1.0
4.871 0.000 0.000
0.000 4.871 0.000
0.000 0.000 9.539
Ti Nb Tl O
2 2 2 12
Direct
0.000 0.000 0.000 Ti
0.500 0.500 0.500 Ti
0.000 0.000 0.337 Nb
0.500 0.500 0.837 Nb
0.000 0.000 0.669 Tl
0.500 0.500 0.169 Tl
0.177 0.177 0.164 O
0.208 0.208 0.855 O
0.214 0.214 0.478 O
0.286 0.714 0.978 O
0.292 0.708 0.355 O
0.323 0.677 0.664 O
0.677 0.323 0.664 O
0.708 0.292 0.355 O
0.714 0.286 0.978 O
0.786 0.786 0.478 O
0.792 0.792 0.855 O
0.823 0.823 0.164 O
```


[2]
# Sr3CaS4
Calculated X-ray diffraction stick pattern, copper Kα. Input: a cell relaxed with GGA-PBE.
Peak positions follow from Bragg's law for the DFT cell and can differ from measured ones.

Peak list (10 most intense, 2θ = 10–90°, by intensity)
- 29.88 deg, I = 100
- 42.76 deg, I = 71
- 70.40 deg, I = 31
- 25.80 deg, I = 28
- 53.04 deg, I = 24
- 78.31 deg, I = 23
- 50.62 deg, I = 15
- 62.07 deg, I = 11
- 68.36 deg, I = 6
- 84.09 deg, I = 5

Structure:
```
Sr3CaS4
1.0
4.230 -5.981 0.000
4.230 5.981 0.000
0.000 0.000 4.229
Sr Ca S
3 1 4
Direct
0.000 0.000 0.000 Sr
0.000 0.500 0.500 Sr
0.500 0.000 0.500 Sr
0.500 0.500 0.000 Ca
0.254 0.746 0.000 S
0.259 0.259 0.500 S
0.741 0.741 0.500 S
0.746 0.254 0.000 S
```


[3]
# SrPu3O8
Calculated X-ray diffraction stick pattern, copper Kα. Input: a cell relaxed with GGA-PBE.
Peak positions follow from Bragg's law for the DFT cell and can differ from measured ones.

Peak list (10 most intense, 2θ = 10–90°, by intensity)
- 14.31 deg, I = 100
- 15.59 deg, I = 67
- 35.76 deg, I = 58
- 31.48 deg, I = 46
- 30.32 deg, I = 39
- 29.66 deg, I = 24
- 28.84 deg, I = 21
- 49.75 deg, I = 20
- 45.75 deg, I = 19
- 53.14 deg, I = 18

Structure:
```
SrPu3O8
1.0
3.447 1.990 6.191
-3.447 1.990 6.191
0.000 -3.980 6.191
Sr Pu O
1 3 8
Direct
0.000 0.000 0.000 Sr
0.000 0.000 0.500 Pu
0.000 0.500 0.000 Pu
0.500 0.000 0.000 Pu
0.168 0.755 0.755 O
0.223 0.223 0.223 O
0.245 0.245 0.832 O
0.245 0.832 0.245 O
0.755 0.168 0.755 O
0.755 0.755 0.168 O
0.777 0.777 0.777 O
0.832 0.245 0.245 O
```


[4]
# CsLaCuI5
Calculated X-ray diffraction stick pattern, copper Kα. Input: a cell relaxed with GGA-PBE.
Peak positions follow from Bragg's law for the DFT cell and can differ from measured ones.

Peak list (10 most intense, 2θ = 10–90°, by intensity)
- 24.35 deg, I = 100
- 16.53 deg, I = 74
- 26.49 deg, I = 70
- 23.50 deg, I = 57
- 32.41 deg, I = 46
- 38.81 deg, I = 40
- 18.49 deg, I = 33
- 32.31 deg, I = 32
- 27.23 deg, I = 29
- 48.06 deg, I = 28

Structure:
```
CsLaCuI5
1.0
5.248 -6.874 0.000
5.248 6.874 0.000
-4.788 0.000 10.806
Cs La Cu I
2 2 2 10
Direct
0.142 0.858 0.750 Cs
0.858 0.142 0.250 Cs
0.500 0.500 0.000 La
0.500 0.500 0.500 La
0.191 0.809 0.250 Cu
0.809 0.191 0.750 Cu
0.110 0.274 0.923 I
0.184 0.599 0.379 I
0.274 0.110 0.423 I
0.401 0.816 0.121 I
0.417 0.583 0.750 I
0.583 0.417 0.250 I
0.599 0.184 0.879 I
0.726 0.890 0.577 I
0.816 0.401 0.621 I
0.890 0.726 0.077 I
```


[5]
# KSbTe3Pb
Calculated X-ray diffraction stick pattern, copper Kα. Input: a cell relaxed with GGA-PBE.
Peak positions follow from Bragg's law for the DFT cell and can differ from measured ones.

Peak list (10 most intense, 2θ = 10–90°, by intensity)
- 27.18 deg, I = 100
- 11.02 deg, I = 67
- 25.74 deg, I = 37
- 34.66 deg, I = 24
- 40.71 deg, I = 22
- 40.28 deg, I = 22
- 33.83 deg, I = 20
- 44.46 deg, I = 15
- 37.31 deg, I = 14
- 48.42 deg, I = 13

Structure:
```
KSbTe3Pb
1.0
9.898 0.000 0.000
0.000 4.478 0.000
-2.412 0.000 10.382
K Sb Te Pb
2 2 6 2
Direct
0.172 0.250 0.207 K
0.828 0.750 0.793 K
0.361 0.750 0.852 Sb
0.639 0.250 0.148 Sb
0.135 0.250 0.842 Te
0.339 0.750 0.548 Te
0.425 0.750 0.140 Te
0.575 0.250 0.860 Te
0.661 0.250 0.452 Te
0.865 0.750 0.158 Te
0.134 0.250 0.557 Pb
0.866 0.750 0.443 Pb
```


[6]
# Pu2Sc13
Calculated X-ray diffraction stick pattern, copper Kα. Input: a cell relaxed with GGA-PBE.
Peak positions follow from Bragg's law for the DFT cell and can differ from measured ones.

Peak list (10 most intense, 2θ = 10–90°, by intensity)
- 34.96 deg, I = 100
- 11.89 deg, I = 75
- 34.69 deg, I = 71
- 34.82 deg, I = 49
- 18.01 deg, I = 40
- 14.82 deg, I = 37
- 27.94 deg, I = 28
- 34.32 deg, I = 27
- 22.17 deg, I = 25
- 34.45 deg, I = 23

Structure:
```
Pu2Sc13
1.0
6.080 0.000 0.000
1.214 8.069 0.000
1.271 3.165 7.445
Pu Sc
2 13
Direct
0.086 0.306 0.432 Pu
0.914 0.694 0.568 Pu
0.000 0.500 0.000 Sc
0.102 0.942 0.742 Sc
0.202 0.714 0.182 Sc
0.286 0.122 0.975 Sc
0.327 0.454 0.651 Sc
0.400 0.900 0.398 Sc
0.492 0.328 0.167 Sc
0.508 0.672 0.833 Sc
0.600 0.100 0.602 Sc
0.673 0.546 0.349 Sc
0.714 0.878 0.025 Sc
0.798 0.286 0.818 Sc
0.898 0.058 0.258 Sc
```


[7]
# HoTl3S3
Calculated X-ray diffraction stick pattern, copper Kα. Input: a cell relaxed with GGA-PBE.
Peak positions follow from Bragg's law for the DFT cell and can differ from measured ones.

Peak list (10 most intense, 2θ = 10–90°, by intensity)
- 30.09 deg, I = 100
- 26.65 deg, I = 57
- 24.56 deg, I = 31
- 26.03 deg, I = 30
- 43.99 deg, I = 24
- 42.15 deg, I = 21
- 51.76 deg, I = 15
- 44.78 deg, I = 13
- 54.90 deg, I = 12
- 72.30 deg, I = 10

Structure:
```
HoTl3S3
1.0
8.755 0.000 0.000
0.000 4.048 0.000
-0.711 0.000 11.879
Ho Tl S
2 6 6
Direct
0.113 0.250 0.384 Ho
0.887 0.750 0.616 Ho
0.145 0.250 0.875 Tl
0.335 0.750 0.145 Tl
0.384 0.750 0.637 Tl
0.616 0.250 0.363 Tl
0.665 0.250 0.855 Tl
0.855 0.750 0.125 Tl
0.095 0.250 0.154 S
0.101 0.250 0.614 S
0.326 0.750 0.392 S
0.674 0.250 0.608 S
0.899 0.750 0.386 S
0.905 0.750 0.846 S
```


[8]
# TaV7C2
Calculated X-ray diffraction stick pattern, copper Kα. Input: a cell relaxed with GGA-PBE.
Peak positions follow from Bragg's law for the DFT cell and can differ from measured ones.

Peak list (10 most intense, 2θ = 10–90°, by intensity)
- 44.81 deg, I = 100
- 36.78 deg, I = 99
- 16.33 deg, I = 74
- 36.01 deg, I = 70
- 27.51 deg, I = 63
- 40.95 deg, I = 54
- 49.44 deg, I = 44
- 65.24 deg, I = 36
- 50.43 deg, I = 22
- 29.11 deg, I = 19

Structure:
```
TaV7C2
1.0
3.169 -5.258 0.000
3.169 5.258 0.000
0.000 0.000 4.043
Ta V C
1 7 2
Direct
0.000 0.000 0.000 Ta
0.063 0.332 0.500 V
0.279 0.721 0.000 V
0.332 0.063 0.500 V
0.500 0.500 0.500 V
0.668 0.937 0.500 V
0.721 0.279 0.000 V
0.937 0.668 0.500 V
0.297 0.703 0.500 C
0.703 0.297 0.500 C
```


Copy entry 1 word for word.
# TiNbTlO6
Calculated X-ray diffraction stick pattern, copper Kα. Input: a cell relaxed with GGA-PBE.
Peak positions follow from Bragg's law for the DFT cell and can differ from measured ones.

Peak list (10 most intense, 2θ = 10–90°, by intensity)
- 25.87 deg, I = 100
- 33.66 deg, I = 79
- 50.80 deg, I = 65
- 20.47 deg, I = 42
- 36.90 deg, I = 22
- 64.43 deg, I = 19
- 53.18 deg, I = 17
- 42.57 deg, I = 17
- 32.05 deg, I = 17
- 60.06 deg, I = 16

Structure:
```
TiNbTlO6
1.0
4.871 0.000 0.000
0.000 4.871 0.000
0.000 0.000 9.539
Ti Nb Tl O
2 2 2 12
Direct
0.000 0.000 0.000 Ti
0.500 0.500 0.500 Ti
0.000 0.000 0.337 Nb
0.500 0.500 0.837 Nb
0.000 0.000 0.669 Tl
0.500 0.500 0.169 Tl
0.177 0.177 0.164 O
0.208 0.208 0.855 O
0.214 0.214 0.478 O
0.286 0.714 0.978 O
0.292 0.708 0.355 O
0.323 0.677 0.664 O
0.677 0.323 0.664 O
0.708 0.292 0.355 O
0.714 0.286 0.978 O
0.786 0.786 0.478 O
0.792 0.792 0.855 O
0.823 0.823 0.164 O
```